(1)
For Cs2KAuBr6, DFT lattice parameters and positions (PBE) gives the calculated powder XRD pattern in this record (Cu Kα X-rays).

Structural model:
abc: 11.676 11.676 11.676
angles: 90.00 90.00 90.00
Space group Fm-3m (No. 225)
One atom of each set of equivalent atoms:
Cs 0.250 0.250 0.250 (multiplicity 8)
K 0.000 0.000 0.000 (multiplicity 4)
Au 0.000 0.000 0.500 (multiplicity 4)
Br 0.000 0.000 0.271 (multiplicity 24)

Peak list (6 most intense, 10° ≤ 2θ ≤ 90°, sorted by position)
hkl	two_theta	Rel. int.
1 1 1	13.1	48
2 2 0	21.5	60
2 2 2	26.4	52
4 0 0	30.6	100
4 4 0	43.9	70
8 4 0	72.4	27



(2)
For Cs2ScAuBr6, DFT lattice parameters and positions (PBE) gives the calculated powder XRD pattern in this record (Cu Kα X-rays).

Structural model:
abc: 11.146 11.146 11.146
angles: 90.00 90.00 90.00
Space group Fm-3m (No. 225)
One atom of each set of equivalent atoms:
Cs 0.250 0.250 0.250 (multiplicity 8)
Sc 0.000 0.000 0.000 (multiplicity 4)
Au 0.000 0.000 0.500 (multiplicity 4)
Br 0.000 0.000 0.241 (multiplicity 24)

Peak list (6 most intense, 10° ≤ 2θ ≤ 90°, sorted by position)
hkl	two_theta	Rel. int.
2 2 0	22.6	57
2 2 2	27.7	52
4 0 0	32.1	100
4 2 2	39.6	26
4 4 0	46.1	71
8 4 0	76.4	31



(3)
For Cs2YAuBr6, DFT lattice parameters and positions (PBE) gives the calculated powder XRD pattern in this record (Cu Kα X-rays).

Structural model:
abc: 11.391 11.391 11.391
angles: 90.00 90.00 90.00
Space group Fm-3m (No. 225)
One atom of each set of equivalent atoms:
Cs 0.250 0.250 0.250 (multiplicity 8)
Y 0.000 0.000 0.000 (multiplicity 4)
Au 0.000 0.000 0.500 (multiplicity 4)
Br 0.000 0.000 0.247 (multiplicity 24)

Peak list (6 most intense, 10° ≤ 2θ ≤ 90°, sorted by position)
hkl	two_theta	Rel. int.
2 2 0	22.1	65
2 2 2	27.1	39
4 0 0	31.4	100
4 2 2	38.7	31
4 4 0	45.0	73
8 4 0	74.5	32



Q: Which formula does entry 2 have?
A: Cs2ScAuBr6